For Ba4MgFe4O10, a cell relaxed with GGA+U gives the theoretical powder diffraction line list in this record (copper Kα).

Main lines, by intensity (10° ≤ 2θ ≤ 80°):
2θ/deg	intensity	hkl
31.35	100	1 1 -3
29.75	98	2 0 -1
31.22	95	1 1 1
29.35	92	0 2 -1
28.61	86	1 -1 2
28.26	73	-1 1 2

Atomic structure:
a = 6.118 Å, b = 6.199 Å, c = 9.222 Å
α = 105.21°, β = 105.90°, γ = 100.96°
Atoms (fractional coordinates):
Ba1 0.000 0.000 0.000
Ba2 0.176 0.278 0.447
Ba3 0.386 0.619 0.010
Ba4 0.654 0.750 0.448
Mg1 0.657 0.271 0.951
Fe1 0.047 0.680 0.258
Fe2 0.283 0.964 0.704
Fe3 0.591 0.161 0.250
Fe4 0.827 0.313 0.703
O1 0.126 0.246 0.723
O2 0.133 0.751 0.487
O3 0.228 0.455 0.214
O4 0.296 0.926 0.236
O5 0.391 0.012 0.938
O6 0.650 0.048 0.738
O7 0.677 0.339 0.502
O8 0.742 0.420 0.183
O9 0.818 0.919 0.237
O10 0.835 0.532 0.898